Entry 1:
Theoretical X-ray powder pattern
Compound: TlHg6S4Br5
Radiation: Cu Kα, 1.54184 Å
Structure: a crystal structure in the Materials Project, relaxed with PBE

abc: 11.246 11.246 11.246
angles: 99.37 99.37 132.40
Element x y z (fractional)
Tl 0.250 0.750 0.500
Tl 0.750 0.250 0.500
Hg 0.061 0.200 0.786
Hg 0.200 0.414 0.139
Hg 0.269 0.641 0.911
Hg 0.275 0.061 0.861
Hg 0.359 0.269 0.628
Hg 0.414 0.275 0.214
Hg 0.586 0.725 0.786
Hg 0.641 0.731 0.372
Hg 0.725 0.939 0.139
Hg 0.731 0.359 0.089
Hg 0.800 0.586 0.861
Hg 0.939 0.800 0.214
S 0.036 0.364 0.930
S 0.106 0.036 0.672
S 0.364 0.434 0.328
S 0.434 0.106 0.070
S 0.566 0.894 0.930
S 0.636 0.566 0.672
S 0.894 0.964 0.328
S 0.964 0.636 0.070
Br 0.000 0.000 0.000
Br 0.072 0.673 0.744
Br 0.187 0.431 0.617
Br 0.327 0.072 0.399
Br 0.431 0.813 0.244
Br 0.500 0.500 0.000
Br 0.569 0.187 0.756
Br 0.673 0.928 0.601
Br 0.813 0.569 0.383
Br 0.928 0.327 0.256

Most intense lines, 2θ = 10–90°, in order of rising 2θ:
2theta	d (Å)	Rel. int.
16.76	5.289	29
19.29	4.601	34
27.61	3.231	100
31.35	2.854	70
32.72	2.737	74
33.90	2.644	65
39.16	2.301	32
39.72	2.269	36
44.93	2.017	28
51.45	1.776	33

---

Entry 2:
Theoretical X-ray powder pattern
Compound: In3Ru
Radiation: Cu Kα, 1.54184 Å
Structure: a crystal structure in the Materials Project, relaxed with PBE

abc: 7.092 7.092 7.355
angles: 90.00 90.00 90.00
Element x y z (fractional)
In 0.000 0.000 0.243
In 0.000 0.000 0.757
In 0.152 0.341 0.511
In 0.159 0.348 0.989
In 0.341 0.848 0.489
In 0.348 0.841 0.011
In 0.500 0.500 0.257
In 0.500 0.500 0.743
In 0.652 0.159 0.011
In 0.659 0.152 0.489
In 0.841 0.652 0.989
In 0.848 0.659 0.511
Ru 0.154 0.654 0.750
Ru 0.346 0.154 0.250
Ru 0.654 0.846 0.250
Ru 0.846 0.346 0.750

Most intense lines, 2θ = 10–90°, in order of rising 2θ:
2theta	d (Å)	Rel. int.
17.37	5.105	25
28.13	3.172	16
30.13	2.966	33
35.16	2.553	25
37.44	2.402	100
40.21	2.243	56
49.57	1.839	16
59.31	1.558	14
65.66	1.422	24
76.89	1.240	16

---

Entry 3:
Theoretical X-ray powder pattern
Compound: Eu2As7Pd12
Radiation: Cu Kα, 1.54184 Å
Structure: a crystal structure in the Materials Project, relaxed with PBE

abc: 10.189 10.189 4.167
angles: 90.00 90.00 120.00
Element x y z (fractional)
Eu 0.000 0.000 0.000
Eu 0.333 0.667 0.501
As 0.076 0.450 0.002
As 0.257 0.218 0.497
As 0.375 0.924 0.002
As 0.550 0.625 0.002
As 0.667 0.333 0.225
As 0.782 0.040 0.497
As 0.960 0.743 0.497
Pd 0.047 0.279 0.499
Pd 0.103 0.713 0.001
Pd 0.232 0.953 0.499
Pd 0.287 0.390 0.001
Pd 0.410 0.187 0.982
Pd 0.524 0.440 0.518
Pd 0.560 0.084 0.518
Pd 0.610 0.897 0.001
Pd 0.721 0.768 0.499
Pd 0.777 0.590 0.982
Pd 0.813 0.223 0.982
Pd 0.916 0.476 0.518

Most intense lines, 2θ = 10–90°, in order of rising 2θ:
2theta	d (Å)	Rel. int.
34.44	2.604	100
37.42	2.403	11
42.85	2.110	17
43.43	2.084	20
44.76	2.025	11
47.20	1.926	24
59.73	1.548	8
66.08	1.414	15
73.91	1.282	10
79.42	1.207	8